No. 1
# K4Sn20Hg3
Calculated powder diffraction line list, Cu Kα, 1.54184 Å. Input: a cell relaxed with PBE.
Neutral-atom scattering factors, no anomalous dispersion.

Cell and atoms:
```
K4Sn20Hg3
1.0
12.439 0.000 0.000
0.000 12.439 0.000
0.000 0.000 12.439
K Sn Hg
8 40 6
Direct
0.000 0.000 0.000 K
0.000 0.250 0.500 K
0.000 0.750 0.500 K
0.250 0.500 0.000 K
0.500 0.000 0.250 K
0.500 0.000 0.750 K
0.500 0.500 0.500 K
0.750 0.500 0.000 K
0.000 0.312 0.117 Sn
0.000 0.312 0.883 Sn
0.000 0.688 0.117 Sn
0.000 0.688 0.883 Sn
0.117 0.000 0.312 Sn
0.117 0.000 0.688 Sn
0.183 0.183 0.183 Sn
0.183 0.183 0.817 Sn
0.183 0.817 0.183 Sn
0.183 0.817 0.817 Sn
0.188 0.500 0.383 Sn
0.188 0.500 0.617 Sn
0.312 0.117 0.000 Sn
0.312 0.883 0.000 Sn
0.317 0.317 0.317 Sn
0.317 0.317 0.683 Sn
0.317 0.683 0.317 Sn
0.317 0.683 0.683 Sn
0.383 0.188 0.500 Sn
0.383 0.812 0.500 Sn
0.500 0.383 0.188 Sn
0.500 0.383 0.812 Sn
0.500 0.617 0.188 Sn
0.500 0.617 0.812 Sn
0.617 0.188 0.500 Sn
0.617 0.812 0.500 Sn
0.683 0.317 0.317 Sn
0.683 0.317 0.683 Sn
0.683 0.683 0.317 Sn
0.683 0.683 0.683 Sn
0.688 0.117 0.000 Sn
0.688 0.883 0.000 Sn
0.812 0.500 0.383 Sn
0.812 0.500 0.617 Sn
0.817 0.183 0.183 Sn
0.817 0.183 0.817 Sn
0.817 0.817 0.183 Sn
0.817 0.817 0.817 Sn
0.883 0.000 0.312 Sn
0.883 0.000 0.688 Sn
0.000 0.500 0.250 Hg
0.000 0.500 0.750 Hg
0.250 0.000 0.500 Hg
0.500 0.250 0.000 Hg
0.500 0.750 0.000 Hg
0.750 0.000 0.500 Hg
```

Principal peaks in the range 10° ≤ 2θ ≤ 80°, sorted by position:
h k l, 2θ (°), I_rel
2 1 0, 15.93, 77
2 1 1, 17.46, 14
2 2 2, 24.80, 42
3 2 1, 26.82, 100
4 1 0, 29.61, 25
4 2 1, 33.00, 28
4 3 2, 38.99, 27
5 3 0, 42.37, 82
5 3 1, 43.02, 25
6 0 0, 43.66, 28
5 3 2, 44.92, 53
9 3 0, 72.03, 15

***

No. 2
# Dy2SO2
Calculated powder diffraction line list, Cu Kα, 1.54184 Å. Input: a cell relaxed with PBE.
Neutral-atom scattering factors, no anomalous dispersion.

Cell and atoms:
```
Dy2SO2
1.0
3.810 0.000 0.000
-1.905 3.299 0.000
0.000 0.000 6.615
Dy S O
2 1 2
Direct
0.333 0.667 0.282 Dy
0.667 0.333 0.718 Dy
0.000 0.000 0.000 S
0.333 0.667 0.629 O
0.667 0.333 0.371 O
```

Principal peaks in the range 10° ≤ 2θ ≤ 80°, sorted by position:
h k l, 2θ (°), I_rel
0 0 2, 26.99, 42
0 1 1, 30.27, 100
1 0 2, 38.54, 30
1 1 0, 47.75, 30
0 1 3, 49.74, 25
1 1 2, 55.69, 21
2 0 1, 57.59, 17
1 0 4, 62.86, 8
0 2 2, 62.96, 7
1 1 3, 64.66, 9
2 0 3, 71.41, 8
1 2 1, 77.97, 14

***

No. 3
# Al5W
Calculated powder diffraction line list, Cu Kα, 1.54184 Å. Input: a cell relaxed with PBE.
Neutral-atom scattering factors, no anomalous dispersion.

Cell and atoms:
```
Al5W
1.0
4.915 0.000 0.000
-2.458 4.257 0.000
0.000 0.000 8.875
Al W
10 2
Direct
0.000 0.000 0.250 Al
0.000 0.000 0.750 Al
0.000 0.338 0.000 Al
0.000 0.662 0.500 Al
0.333 0.667 0.250 Al
0.338 0.000 0.000 Al
0.338 0.338 0.500 Al
0.662 0.000 0.500 Al
0.662 0.662 0.000 Al
0.667 0.333 0.750 Al
0.333 0.667 0.750 W
0.667 0.333 0.250 W
```

Principal peaks in the range 10° ≤ 2θ ≤ 80°, sorted by position:
h k l, 2θ (°), I_rel
0 0 2, 20.01, 31
1 0 0, 20.87, 22
1 0 1, 23.17, 100
1 0 2, 29.07, 19
1 1 0, 36.56, 34
1 0 3, 37.00, 31
0 0 4, 40.66, 22
1 1 2, 42.02, 92
2 0 1, 43.74, 19
1 1 4, 55.82, 20
2 1 1, 58.28, 17
1 1 6, 74.93, 17